Calculated powder XRD pattern
Compound: SrB12O7
Radiation: copper Kα
Structure: a GGA-PBE-relaxed structure

Most intense lines, 10° ≤ 2θ ≤ 90°, sorted by position:
Position (°2θ)  d (Å)  Rel. int.
14.15  6.257  41
17.44  5.086  90
17.59  5.041  82
22.41  3.968  34
26.92  3.313  43
28.61  3.120  100

Structural model:
abc: 6.8120 6.8120 6.8120
angles: 71.25 71.25 71.25
Atoms (fractional coordinates):
Sr 0.0000 0.0000 0.0000
B 0.1919 0.4493 0.3573
B 0.2008 0.4160 0.6540
B 0.3573 0.1919 0.4493
B 0.3840 0.5438 0.6373
B 0.4160 0.6540 0.2008
B 0.4168 0.7914 0.5636
B 0.4493 0.3573 0.1919
B 0.5438 0.6373 0.3840
B 0.5636 0.4168 0.7914
B 0.6373 0.3840 0.5438
B 0.6540 0.2008 0.4160
B 0.7914 0.5636 0.4168
O 0.0530 0.3409 0.8062
O 0.2585 0.2585 0.2585
O 0.3385 0.9903 0.5898
O 0.3409 0.8062 0.0530
O 0.5898 0.3385 0.9903
O 0.8062 0.0530 0.3409
O 0.9903 0.5898 0.3385